KCd10Pb: calculated X-ray diffraction stick pattern (Cu Kα (weighted mean of Kα1 and Kα2)), based on a cell relaxed with PBE.

Crystal structure
Unit cell a=4.8691 b=6.1610 c=10.5090 alpha=90.00 beta=90.00 gamma=90.00
Space group Pmmm (No. 47)
Unique sites:
K: 0.0000 0.0000 0.0000 x1
Cd: 0.0000 0.0000 0.3414 x2
Cd: 0.0000 0.5000 0.1745 x2
Cd: 0.5000 0.0000 0.5000 x1
Cd: 0.5000 0.2484 0.2498 x4
Cd: 0.5000 0.5000 0.0000 x1
Pb: 0.0000 0.5000 0.5000 x1

Most intense lines, 2θ from 15° to 90°, sorted by position:
| h k l | 2θ/deg | d (Å) | I/Imax |
| --- | --- | --- | --- |
| 0 1 3 | 29.33 | 3.045 | 20.0 |
| 0 2 2 | 33.73 | 2.657 | 31.3 |
| 1 2 0 | 34.45 | 2.603 | 51.7 |
| 1 1 3 | 34.75 | 2.582 | 100.0 |
| 2 0 0 | 36.92 | 2.435 | 47.5 |
| 1 2 2 | 38.60 | 2.333 | 38.8 |
| 1 0 4 | 38.95 | 2.312 | 20.0 |
| 1 3 3 | 55.17 | 1.665 | 25.6 |
| 0 2 6 | 60.84 | 1.523 | 20.9 |
| 2 2 6 | 73.34 | 1.291 | 23.7 |